# 1
Starting from a crystal structure in the Materials Project, relaxed with GGA+U, the PXRD pattern of Co3P4O14 was calculated for Cu Kα X-rays.
Intensities are scaled so that the largest is 100.

Peak list (6 most intense, 2θ = 5–70°, sorted by position)
2θ (°), d_spacing, I/Imax, index
13.22, 6.696, 100, 0 1 0
18.91, 4.692, 63, 0 1 1
23.71, 3.753, 40, 1 1 0
26.22, 3.399, 50, 0 1 -2
27.63, 3.229, 51, 1 1 1
30.69, 2.913, 32, -1 2 1

a = 5.7081 Å, b = 7.0205 Å, c = 7.4187 Å
α = 96.33°, β = 90.25°, γ = 106.22°
Space group P-1 (No. 2)
Asymmetric unit:
1 Co 0.0000 0.0000 0.0000
2 Co 0.3617 0.5256 0.3245
3 P 0.0833 0.3120 0.6873
4 P 0.3518 0.6930 0.9252
5 O 0.0284 0.1137 0.7587
6 O 0.1368 0.6544 0.4148
7 O 0.1489 0.4831 0.8570
8 O 0.2351 0.8562 0.9020
9 O 0.3074 0.3617 0.5611
10 O 0.4234 0.2974 0.1974
11 O 0.4264 0.6790 0.1195

# 2
Starting from a crystal structure in the Materials Project, relaxed with GGA+U, the PXRD pattern of Co2P3O10 was calculated for Cu Kα X-rays.
Intensities are scaled so that the largest is 100.

Peak list (6 most intense, 2θ = 5–70°, sorted by position)
2θ (°), d_spacing, I/Imax, index
13.73, 6.448, 100, 1 0 0
15.81, 5.605, 75, -1 1 1
21.05, 4.221, 68, 0 1 -2
26.00, 3.427, 37, -2 1 2
27.63, 3.228, 51, 2 0 0
27.70, 3.220, 50, 0 2 -2

a = 7.9470 Å, b = 7.9713 Å, c = 9.4304 Å
α = 97.56°, β = 111.61°, γ = 113.56°
Space group P-1 (No. 2)
Asymmetric unit:
1 Co 0.1726 0.2602 0.4604
2 Co 0.3000 0.7096 0.0364
3 P 0.1353 0.5492 0.2707
4 P 0.1733 0.9223 0.2482
5 P 0.2215 0.1357 0.7711
6 O 0.0714 0.1530 0.8463
7 O 0.1021 0.5682 0.8200
8 O 0.1178 0.9256 0.6638
9 O 0.1946 0.7740 0.3450
10 O 0.2250 0.4966 0.4204
11 O 0.2374 0.5440 0.1618
12 O 0.2449 0.9069 0.1215
13 O 0.2497 0.2807 0.6784
14 O 0.2839 0.1202 0.3730
15 O 0.4224 0.1945 0.9210

# 3
Starting from a crystal structure in the Materials Project, relaxed with GGA+U, the PXRD pattern of Co3P4O16 was calculated for Cu Kα X-rays.
Intensities are scaled so that the largest is 100.

Peak list (6 most intense, 2θ = 5–70°, sorted by position)
2θ (°), d_spacing, I/Imax, index
11.41, 7.758, 48, 0 0 1
15.46, 5.731, 44, 0 1 1
16.83, 5.268, 100, 0 1 -1
21.49, 4.136, 66, 1 0 -1
23.96, 3.715, 63, 1 -1 1
24.73, 3.600, 54, 0 1 2

a = 5.1182 Å, b = 7.7635 Å, c = 7.8317 Å
α = 85.04°, β = 85.80°, γ = 87.88°
Space group P1 (No. 1)
Asymmetric unit:
1 Co 0.0000 0.0000 0.0000
2 Co 0.1004 0.6108 0.8952
3 Co 0.5077 0.4479 0.4534
4 P 0.0329 0.6553 0.2807
5 P 0.4677 0.1567 0.1855
6 P 0.5297 0.7847 0.7879
7 P 0.9791 0.2918 0.6726
8 O 0.0234 0.1124 0.7652
9 O 0.0639 0.5397 0.1239
10 O 0.1995 0.3215 0.5309
11 O 0.2077 0.1668 0.0935
12 O 0.2865 0.8239 0.9227
13 O 0.2954 0.6342 0.3707
14 O 0.4068 0.0162 0.3332
15 O 0.4161 0.6057 0.7462
16 O 0.5511 0.3297 0.2391
17 O 0.5640 0.9165 0.6383
18 O 0.6794 0.0956 0.0485
19 O 0.7092 0.2941 0.5905
20 O 0.7858 0.7622 0.8857
21 O 0.8039 0.5972 0.4066
22 O 0.9425 0.4344 0.8014
23 O 0.9937 0.8466 0.2195

# 4
Starting from a crystal structure in the Materials Project, relaxed with GGA+U, the PXRD pattern of Co2P2O7 was calculated for Cu Kα X-rays.
Intensities are scaled so that the largest is 100.

Peak list (6 most intense, 2θ = 5–70°, sorted by position)
2θ (°), d_spacing, I/Imax, index
29.33, 3.046, 100, 1 2 -2
29.56, 3.022, 46, 1 0 2
34.73, 2.583, 17, 1 3 0
34.82, 2.577, 16, 2 2 0
42.39, 2.132, 23, 2 3 -2
57.84, 1.594, 14, 3 3 -4

a = 7.0780 Å, b = 8.4424 Å, c = 9.1144 Å
α = 90.00°, β = 113.19°, γ = 90.00°
Space group P2_1/c (No. 14)
Asymmetric unit:
1 Co 0.1966 0.0627 0.3170
2 Co 0.2685 0.0738 0.8913
3 P 0.0330 0.7245 0.9674
4 P 0.4360 0.7321 0.2577
5 O 0.0173 0.0906 0.6565
6 O 0.0556 0.6127 0.3989
7 O 0.1225 0.2334 0.4524
8 O 0.2486 0.6696 0.0995
9 O 0.3808 0.6110 0.8092
10 O 0.3834 0.2422 0.2966
11 O 0.4737 0.5979 0.3806